Starting from a DFT-relaxed cell (PBE, Alexandria), the X-ray powder pattern of PrEuCdSb was calculated for Cu Kα, 1.54184 Å.
Intensities are scaled so that the largest is 100.

Peak list (8 most intense, 10° ≤ 2θ ≤ 90°, in order of rising 2θ)
- 2θ 22.8, I 1.4
- 2θ 32.5, I 100.0
- 2θ 46.6, I 18.1
- 2θ 52.5, I 0.7
- 2θ 58.0, I 37.4
- 2θ 68.1, I 11.5
- 2θ 77.5, I 16.0
- 2θ 86.5, I 4.1

Crystal structure
```
data_PrEuCdSb
_chemical_formula_sum 'Pr4 Eu4 Cd4 Sb4'
_cell_length_a 7.7931
_cell_length_b 7.7931
_cell_length_c 7.7931
_cell_angle_alpha 90.00
_cell_angle_beta 90.00
_cell_angle_gamma 90.00
_space_group_name_H-M_alt 'F -4 3 m'
_space_group_IT_number 216
_space_group_name_Hall 'F -4 2 3'
loop_
_atom_site_label
_atom_site_type_symbol
_atom_site_fract_x
_atom_site_fract_y
_atom_site_fract_z
Pr1 Pr 0.0000 0.0000 0.0000
Eu1 Eu 0.0000 0.0000 0.5000
Cd1 Cd 0.2500 0.2500 0.2500
Sb1 Sb 0.2500 0.2500 0.7500
```

=====

Starting from a DFT-relaxed cell (PBE, Alexandria), the X-ray powder pattern of RbZrAsSe2 was calculated for Cu Kα, 1.54184 Å.
Intensities are scaled so that the largest is 100.

Peak list (10 most intense, 10° ≤ 2θ ≤ 90°, in order of rising 2θ)
- 2θ 16.6, I 24.2
- 2θ 23.6, I 44.2
- 2θ 29.1, I 90.0
- 2θ 33.6, I 100.0
- 2θ 33.9, I 48.9
- 2θ 48.2, I 35.3
- 2θ 48.4, I 69.7
- 2θ 57.3, I 25.7
- 2θ 60.2, I 35.9
- 2θ 80.5, I 15.6

Crystal structure
```
data_RbZrAsSe2
_chemical_formula_sum 'Rb1 Zr1 As1 Se2'
_cell_length_a 5.3376
_cell_length_b 5.3376
_cell_length_c 5.2957
_cell_angle_alpha 90.00
_cell_angle_beta 90.00
_cell_angle_gamma 90.00
_space_group_name_H-M_alt 'P 4/m m m'
_space_group_IT_number 123
_space_group_name_Hall '-P 4 2'
loop_
_atom_site_label
_atom_site_type_symbol
_atom_site_fract_x
_atom_site_fract_y
_atom_site_fract_z
Rb1 Rb 0.0000 0.0000 0.0000
Zr1 Zr 0.5000 0.5000 0.5000
As1 As 0.5000 0.5000 0.0000
Se1 Se 0.0000 0.5000 0.5000
```